(1)
This entry pairs a crystal structure of Ti4Pb2O9F2 with its calculated X-ray powder pattern. Radiation: λ = 1.5418 Å (Cu Kα). Structure: the PBE geometry in the Materials Project.
Intensities are scaled so that the largest is 1000.

The 10 most intense peaks (2θ from 15° to 90°), sorted by position:
- d 5.248, 16.90°, intensity 529
- d 3.417, 26.08°, intensity 437
- d 3.344, 26.66°, intensity 369
- d 3.318, 26.87°, intensity 394
- d 3.015, 29.63°, intensity 1000
- d 3.002, 29.76°, intensity 631
- d 2.989, 29.90°, intensity 750
- d 2.976, 30.03°, intensity 722
- d 1.922, 47.30°, intensity 373
- d 1.750, 52.26°, intensity 364

Cell and atoms:
```
data_Ti4Pb2O9F2
_cell_length_a 15.0237
_cell_length_b 3.8435
_cell_length_c 10.4960
_cell_angle_alpha 90.00
_cell_angle_beta 133.53
_cell_angle_gamma 90.00
_symmetry_space_group_name_H-M 'C 1 2/m 1'
_symmetry_Int_Tables_number 12
loop_
_symmetry_equiv_pos_as_xyz
'x,y,z'
'-x,-y,-z'
'-x,y,-z'
'x,-y,z'
'x+1/2,y+1/2,z'
'-x+1/2,-y+1/2,-z'
'-x+1/2,y+1/2,-z'
'x+1/2,-y+1/2,z'
loop_
_atom_site_label
_atom_site_type_symbol
_atom_site_fract_x
_atom_site_fract_y
_atom_site_fract_z
Ti1 Ti 0.1214 0.0000 0.0470
Ti2 Ti 0.1580 0.0000 0.7268
Pb1 Pb 0.0847 0.5000 0.3363
O1 O 0.0000 0.0000 0.5000
O2 O 0.0628 0.0000 0.1616
O3 O 0.1155 0.0000 0.8479
O4 O 0.1483 0.5000 0.0680
O5 O 0.1981 0.5000 0.7452
F1 F 0.2123 0.0000 0.5618
```

(2)
This entry pairs a crystal structure of Fe4RuN4 with its calculated X-ray powder pattern. Radiation: λ = 1.5418 Å (Cu Kα). Structure: the PBE geometry in the Materials Project.
Intensities are scaled so that the largest is 1000.

The 10 most intense peaks (2θ from 15° to 90°), sorted by position:
- d 2.491, 36.06°, intensity 418
- d 2.335, 38.56°, intensity 540
- d 2.298, 39.21°, intensity 1000
- d 2.111, 42.83°, intensity 436
- d 2.052, 44.14°, intensity 474
- d 1.955, 46.45°, intensity 373
- d 1.529, 60.55°, intensity 125
- d 1.420, 65.77°, intensity 120
- d 1.403, 66.66°, intensity 120
- d 1.384, 67.67°, intensity 135

Cell and atoms:
```
data_Fe4RuN4
_cell_length_a 4.8375
_cell_length_b 4.8430
_cell_length_c 7.9521
_cell_angle_alpha 88.49
_cell_angle_beta 74.44
_cell_angle_gamma 71.87
_symmetry_space_group_name_H-M 'P -1'
_symmetry_Int_Tables_number 2
loop_
_symmetry_equiv_pos_as_xyz
'x,y,z'
'-x,-y,-z'
loop_
_atom_site_label
_atom_site_type_symbol
_atom_site_fract_x
_atom_site_fract_y
_atom_site_fract_z
Fe1 Fe 0.0656 0.2104 0.4203
Fe2 Fe 0.2749 0.2768 0.9600
Fe3 Fe 0.4128 0.7757 0.7740
Fe4 Fe 0.4276 0.2889 0.5921
Ru1 Ru 0.1332 0.7383 0.2074
N1 N 0.1470 0.6822 0.9621
N2 N 0.2178 0.9822 0.6069
N3 N 0.2822 0.5016 0.4057
N4 N 0.3619 0.0401 0.1502
```

(3)
This entry pairs a crystal structure of LiCuPO4 with its calculated X-ray powder pattern. Radiation: λ = 1.5418 Å (Cu Kα). Structure: the PBE geometry in the Materials Project.
Intensities are scaled so that the largest is 1000.

The 10 most intense peaks (2θ from 15° to 90°), sorted by position:
- d 4.746, 18.70°, intensity 739
- d 4.457, 19.92°, intensity 994
- d 3.076, 29.03°, intensity 853
- d 2.681, 33.42°, intensity 1000
- d 2.581, 34.75°, intensity 508
- d 2.440, 36.84°, intensity 594
- d 2.373, 37.91°, intensity 366
- d 2.095, 43.17°, intensity 316
- d 2.021, 44.85°, intensity 442
- d 1.881, 48.40°, intensity 350

Cell and atoms:
```
data_LiCuPO4
_cell_length_a 9.4926
_cell_length_b 6.1517
_cell_length_c 5.0486
_cell_angle_alpha 90.00
_cell_angle_beta 90.00
_cell_angle_gamma 90.00
_symmetry_space_group_name_H-M 'P n m a'
_symmetry_Int_Tables_number 62
loop_
_symmetry_equiv_pos_as_xyz
'x,y,z'
'-x,-y,-z'
'-x+1/2,-y,z+1/2'
'x+1/2,y,-z+1/2'
'x+1/2,-y+1/2,-z+1/2'
'-x+1/2,y+1/2,z+1/2'
'-x,y+1/2,-z'
'x,-y+1/2,z'
loop_
_atom_site_label
_atom_site_type_symbol
_atom_site_fract_x
_atom_site_fract_y
_atom_site_fract_z
Li1 Li 0.0000 0.0000 0.0000
Cu1 Cu 0.1555 0.2500 0.4510
P1 P 0.1900 0.7500 0.4493
O1 O 0.1150 0.5471 0.3309
O2 O 0.1506 0.2500 0.8719
O3 O 0.1669 0.7500 0.7547
```

(4)
This entry pairs a crystal structure of TmHO2 with its calculated X-ray powder pattern. Radiation: λ = 1.5418 Å (Cu Kα). Structure: the PBE geometry in the Materials Project.
Intensities are scaled so that the largest is 1000.

The 10 most intense peaks (2θ from 15° to 90°), sorted by position:
- d 4.477, 19.83°, intensity 721
- d 3.655, 24.35°, intensity 207
- d 2.934, 30.47°, intensity 1000
- d 2.745, 32.62°, intensity 967
- d 2.393, 37.59°, intensity 180
- d 1.972, 46.03°, intensity 209
- d 1.883, 48.35°, intensity 230
- d 1.757, 52.04°, intensity 181
- d 1.735, 52.77°, intensity 291
- d 1.496, 62.04°, intensity 132

Cell and atoms:
```
data_TmHO2
_cell_length_a 10.9610
_cell_length_b 3.4793
_cell_length_c 4.9048
_cell_angle_alpha 90.00
_cell_angle_beta 90.00
_cell_angle_gamma 90.00
_symmetry_space_group_name_H-M 'P n m a'
_symmetry_Int_Tables_number 62
loop_
_symmetry_equiv_pos_as_xyz
'x,y,z'
'-x,-y,-z'
'-x+1/2,-y,z+1/2'
'x+1/2,y,-z+1/2'
'x+1/2,-y+1/2,-z+1/2'
'-x+1/2,y+1/2,z+1/2'
'-x,y+1/2,-z'
'x,-y+1/2,z'
loop_
_atom_site_label
_atom_site_type_symbol
_atom_site_fract_x
_atom_site_fract_y
_atom_site_fract_z
Tm1 Tm 0.1447 0.2500 0.0676
H1 H 0.0886 0.7500 0.6083
O1 O 0.0592 0.7500 0.8014
O2 O 0.1928 0.7500 0.3129
```